Calculated powder diffractogram of Sr3SbO8 for copper Kα, from DFT lattice parameters and positions (PBE).

Structure:
Cell lengths 5.6039, 5.6039, 11.6792 Å; angles 90.00, 90.00, 90.00 degrees
Space group I4/mmm (No. 139)
Symmetry-distinct sites (fractional):
Sr 0.0000 0.0000 0.0000 (multiplicity 2)
Sr 0.0000 0.5000 0.2500 (multiplicity 4)
Sb 0.0000 0.0000 0.5000 (multiplicity 2)
O 0.2133 0.2133 0.3899 (multiplicity 16)

The 10 most intense peaks (10 to 80 degrees two-theta), sorted by position:
d (Å)  2theta  intensity  (hkl)
5.052  17.55  7  1 0 1
3.279  27.20  100  1 1 2
2.920  30.62  8  0 0 4
2.802  31.94  15  2 0 0
2.022  44.83  40  2 0 4
1.981  45.80  19  2 2 0
1.747  52.37  16  1 1 6
1.696  54.08  28  3 1 2
1.639  56.10  8  2 2 4
1.310  72.07  13  3 1 6

---

Calculated powder diffractogram of CePu3Np2N6 for copper Kα, from DFT lattice parameters and positions (PBE).

Structure:
Cell lengths 6.0169, 10.4128, 6.0352 Å; angles 90.00, 109.39, 90.00 degrees
Space group C2/m (No. 12)
Symmetry-distinct sites (fractional):
Ce 0.0000 0.0000 0.0000 (multiplicity 2)
Pu 0.0000 0.1641 0.5000 (multiplicity 4)
Pu 0.0000 0.5000 0.5000 (multiplicity 2)
Np 0.0000 0.3328 0.0000 (multiplicity 4)
N 0.2307 0.5000 0.2400 (multiplicity 4)
N 0.2442 0.3258 0.7566 (multiplicity 8)

The 10 most intense peaks (10 to 80 degrees two-theta), sorted by position:
d (Å)  2theta  intensity  (hkl)
2.842  31.48  77  2 0 0
2.836  31.55  76  1 3 -1
2.459  36.55  100  1 3 1
1.741  52.57  35  2 0 2
1.736  52.72  35  3 3 -1
1.485  62.54  18  1 3 3
1.482  62.68  41  3 3 1
1.481  62.76  12  2 6 0
1.418  65.86  18  4 0 0
1.229  77.68  11  4 0 -4

---

Calculated powder diffractogram of Li2YOs for copper Kα, from DFT lattice parameters and positions (PBE).

Structure:
Cell lengths 6.3848, 6.3848, 6.3848 Å; angles 90.00, 90.00, 90.00 degrees
Space group Fm-3m (No. 225)
Symmetry-distinct sites (fractional):
Li 0.2500 0.2500 0.2500 (multiplicity 8)
Y 0.0000 0.0000 0.0000 (multiplicity 4)
Os 0.0000 0.0000 0.5000 (multiplicity 4)

The 10 most intense peaks (10 to 80 degrees two-theta), sorted by position:
d (Å)  2theta  intensity  (hkl)
3.686  24.14  23  1 1 1
3.192  27.95  100  2 0 0
2.257  39.94  89  2 2 0
1.925  47.21  13  3 1 1
1.843  49.45  28  2 2 2
1.596  57.76  15  4 0 0
1.465  63.51  6  3 3 1
1.428  65.36  36  4 2 0
1.303  72.53  31  4 2 2
1.229  77.72  4  5 1 1

---

Calculated powder diffractogram of TiMnI6 for copper Kα, from DFT lattice parameters and positions (PBE).

Structure:
Cell lengths 7.1375, 7.1375, 19.1633 Å; angles 90.00, 90.00, 120.00 degrees
Space group R-3 (No. 148, hexagonal axes)
Symmetry-distinct sites (fractional):
Ti 0.0000 0.0000 0.0000 (multiplicity 3)
Mn 0.0000 0.0000 0.5000 (multiplicity 3)
I 0.0094 0.6581 0.7488 (multiplicity 18)

The 10 most intense peaks (10 to 80 degrees two-theta), sorted by position:
d (Å)  2theta  intensity  (hkl)
3.569  24.95  12  1 1 0
3.194  27.94  18  0 0 6
3.116  28.65  100  2 -1 3
2.380  37.80  26  1 1 6
2.060  43.94  26  3 0 0
1.829  49.87  21  2 -1 9
1.731  52.88  17  3 0 6
1.719  53.31  16  2 2 3
1.320  71.48  13  5 -4 3
1.262  75.29  10  3 0 12

---

Calculated powder diffractogram of Si5Mo10P for copper Kα, from DFT lattice parameters and positions (PBE).

Structure:
Cell lengths 9.6586, 9.6586, 4.9299 Å; angles 90.00, 90.00, 90.00 degrees
Space group I422 (No. 97)
Symmetry-distinct sites (fractional):
Si 0.0000 0.0000 0.0000 (multiplicity 2)
Si 0.1672 0.3328 0.2500 (multiplicity 8)
Mo 0.0000 0.5000 0.0000 (multiplicity 4)
Mo 0.0760 0.2224 0.7478 (multiplicity 16)
P 0.0000 0.0000 0.5000 (multiplicity 2)

The 10 most intense peaks (10 to 80 degrees two-theta), sorted by position:
d (Å)  2theta  intensity  (hkl)
3.249  27.45  30  2 1 1
3.054  29.24  26  3 1 0
2.465  36.45  26  0 0 2
2.354  38.24  72  3 2 1
2.195  41.11  36  2 0 2
2.160  41.83  56  4 2 0
2.116  42.74  100  4 1 1
1.999  45.38  55  2 2 2
1.366  68.72  18  5 5 0
1.345  69.93  22  4 1 3

---

Calculated powder diffractogram of BaZnPd4 for copper Kα, from DFT lattice parameters and positions (PBE).

Structure:
Cell lengths 7.8028, 7.8028, 7.8028 Å; angles 90.00, 90.00, 90.00 degrees
Space group F-43m (No. 216)
Symmetry-distinct sites (fractional):
Ba 0.0000 0.0000 0.0000 (multiplicity 4)
Zn 0.2500 0.2500 0.7500 (multiplicity 4)
Pd 0.1241 0.1241 0.3759 (multiplicity 16)

The 10 most intense peaks (10 to 80 degrees two-theta), sorted by position:
d (Å)  2theta  intensity  (hkl)
4.505  19.71  10  1 1 1
3.901  22.79  3  2 0 0
2.759  32.45  25  2 2 0
2.353  38.26  100  3 1 1
2.252  40.03  43  2 2 2
1.951  46.56  6  4 0 0
1.593  57.90  9  4 2 2
1.502  61.78  32  5 1 1
1.379  67.96  27  4 4 0
1.234  77.34  4  6 2 0

---

Calculated powder diffractogram of LaMg3 for copper Kα, from DFT lattice parameters and positions (PBE).

Structure:
Cell lengths 7.5043, 7.5043, 7.5043 Å; angles 90.00, 90.00, 90.00 degrees
Space group Fm-3m (No. 225)
Symmetry-distinct sites (fractional):
La 0.0000 0.0000 0.0000 (multiplicity 4)
Mg 0.0000 0.0000 0.5000 (multiplicity 4)
Mg 0.2500 0.2500 0.2500 (multiplicity 8)

The 10 most intense peaks (10 to 80 degrees two-theta), sorted by position:
d (Å)  2theta  intensity  (hkl)
4.333  20.50  62  1 1 1
3.752  23.71  33  2 0 0
2.653  33.78  100  2 2 0
2.263  39.84  34  3 1 1
1.876  48.53  18  4 0 0
1.722  53.20  15  3 3 1
1.678  54.70  14  4 2 0
1.532  60.43  36  4 2 2
1.444  64.53  11  5 1 1
1.327  71.06  11  4 4 0

---

Calculated powder diffractogram of CeSmTm for copper Kα, from DFT lattice parameters and positions (PBE).

Structure:
Cell lengths 6.3276, 10.3312, 6.5879 Å; angles 90.00, 118.72, 90.00 degrees
Space group P2_1/c (No. 14)
Symmetry-distinct sites (fractional):
Ce 0.1895 0.2233 0.1294 (multiplicity 4)
Sm 0.3127 0.6290 0.8464 (multiplicity 4)
Tm 0.2227 0.5410 0.2920 (multiplicity 4)

The 10 most intense peaks (10 to 80 degrees two-theta), sorted by position:
d (Å)  2theta  intensity  (hkl)
2.926  30.55  79  1 3 0
2.889  30.96  9  0 0 2
2.777  32.24  100  2 0 0
2.680  33.44  19  2 1 -2
2.379  37.82  22  1 3 1
1.777  51.41  14  3 3 -2
1.662  55.28  8  1 4 2
1.650  55.70  11  0 6 1
1.625  56.66  8  2 1 -4
1.512  61.29  10  2 6 -1

---

Calculated powder diffractogram of NaHClF for copper Kα, from DFT lattice parameters and positions (PBE).

Structure:
Cell lengths 3.9941, 4.0036, 5.3353 Å; angles 79.50, 68.82, 60.13 degrees
Space group P1 (No. 1)
Symmetry-distinct sites (fractional):
Na 0.0000 0.0000 0.0000 (multiplicity 1)
H 0.4901 0.4100 0.6055 (multiplicity 1)
Cl 0.5183 0.6657 0.3066 (multiplicity 1)
F 0.4484 0.2975 0.7981 (multiplicity 1)

The 10 most intense peaks (10 to 80 degrees two-theta), sorted by position:
d (Å)  2theta  intensity  (hkl)
4.975  17.83  27  0 0 1
3.281  27.18  59  1 1 0
3.257  27.38  63  1 0 1
2.850  31.39  100  0 1 1
2.408  37.35  54  1 1 -1
2.380  37.81  52  1 0 2
1.997  45.42  29  2 1 1
1.966  46.19  35  1 2 0
1.960  46.31  32  1 -1 1
1.736  52.74  16  1 0 -2

---

Calculated powder diffractogram of La3ErPd2 for copper Kα, from DFT lattice parameters and positions (PBE).

Structure:
Cell lengths 16.7300, 3.9855, 5.3170 Å; angles 90.00, 108.39, 90.00 degrees
Space group C2/m (No. 12)
Symmetry-distinct sites (fractional):
La 0.0000 0.0000 0.0000 (multiplicity 2)
La 0.1857 0.5000 0.1863 (multiplicity 4)
Er 0.0000 0.5000 0.5000 (multiplicity 2)
Pd 0.1349 0.0000 0.6331 (multiplicity 4)

The 10 most intense peaks (10 to 80 degrees two-theta), sorted by position:
d (Å)  2theta  intensity  (hkl)
2.959  30.20  100  3 1 -1
2.726  32.85  15  4 0 1
2.659  33.71  44  2 0 -2
2.646  33.88  24  6 0 0
2.485  36.14  80  5 1 -1
1.993  45.52  19  0 2 0
1.685  54.46  11  9 1 -1
1.594  57.83  19  2 2 -2
1.592  57.93  10  6 2 0
1.587  58.13  18  5 1 -3

---

Calculated powder diffractogram of Ti4FeTc3 for copper Kα, from DFT lattice parameters and positions (PBE).

Structure:
Cell lengths 3.0736, 4.3478, 8.6899 Å; angles 90.00, 90.00, 90.00 degrees
Space group Pmmm (No. 47)
Symmetry-distinct sites (fractional):
Ti 0.0000 0.0000 0.0000 (multiplicity 1)
Ti 0.0000 0.0000 0.5000 (multiplicity 1)
Ti 0.0000 0.5000 0.2432 (multiplicity 2)
Fe 0.5000 0.5000 0.0000 (multiplicity 1)
Tc 0.5000 0.0000 0.2450 (multiplicity 2)
Tc 0.5000 0.5000 0.5000 (multiplicity 1)

The 10 most intense peaks (10 to 80 degrees two-theta), sorted by position:
d (Å)  2theta  intensity  (hkl)
8.690  10.18  2  0 0 1
4.346  20.43  1  0 1 0
3.888  22.87  1  0 1 1
3.073  29.05  13  1 0 0
2.897  30.87  1  0 0 3
2.173  41.55  100  0 2 0
1.774  51.50  4  1 2 0
1.537  60.22  16  2 0 0
1.374  68.23  5  2 1 2
1.255  75.82  30  2 2 0

---

Calculated powder diffractogram of Pu2NpF11 for copper Kα, from DFT lattice parameters and positions (PBE).

Structure:
Cell lengths 8.3830, 10.5071, 11.1636 Å; angles 90.00, 90.00, 90.00 degrees
Space group Ibam (No. 72)
Symmetry-distinct sites (fractional):
Pu 0.1465 0.1813 0.0000 (multiplicity 8)
Np 0.0000 0.5000 0.2500 (multiplicity 4)
F 0.0000 0.0000 0.0000 (multiplicity 4)
F 0.0892 0.3270 0.1440 (multiplicity 16)
F 0.1289 0.2159 0.5000 (multiplicity 8)
F 0.2153 0.4316 0.3613 (multiplicity 16)

The 10 most intense peaks (10 to 80 degrees two-theta), sorted by position:
d (Å)  2theta  intensity  (hkl)
4.249  20.91  100  1 1 2
4.135  21.49  51  1 2 1
3.826  23.25  78  0 2 2
3.676  24.21  75  2 1 1
3.232  27.60  32  1 3 0
2.791  32.07  22  0 0 4
2.112  42.81  33  1 3 4
2.034  44.54  45  3 3 2
1.939  46.85  28  3 1 4
1.915  47.49  23  1 5 2

---

Calculated powder diffractogram of ErTm6Th2 for copper Kα, from DFT lattice parameters and positions (PBE).

Structure:
Cell lengths 12.4679, 14.2195, 6.5363 Å; angles 90.00, 102.37, 90.00 degrees
Space group C2/c (No. 15)
Symmetry-distinct sites (fractional):
Er 0.0000 0.1106 0.2500 (multiplicity 4)
Tm 0.0373 0.3083 0.0076 (multiplicity 8)
Tm 0.1376 0.0923 0.8124 (multiplicity 8)
Tm 0.2411 0.3043 0.7242 (multiplicity 8)
Th 0.1345 0.4769 0.3793 (multiplicity 8)

The 10 most intense peaks (10 to 80 degrees two-theta), sorted by position:
d (Å)  2theta  intensity  (hkl)
3.106  28.74  32  0 4 1
3.083  28.96  17  3 3 0
3.062  29.16  24  3 1 1
2.877  31.09  17  1 1 2
2.853  31.35  63  2 2 -2
2.799  31.98  48  4 2 0
2.771  32.31  100  4 2 -1
2.688  33.33  33  1 3 -2
2.657  33.73  37  2 4 1
2.607  34.40  30  2 0 2